Calculated X-ray powder pattern of TbDy12Sc2 for CuKα, from a crystal structure in Alexandria, relaxed with GGA-PBE.

The 6 most intense peaks (2θ from 5° to 70°), low angle first:
2θ = 31.34°, d 2.854, I 100.0; 2θ = 31.98°, d 2.799, I 96.4; 2θ = 35.18°, d 2.551, I 61.9; 2θ = 37.33°, d 2.409, I 36.0; 2θ = 52.23°, d 1.752, I 40.2; 2θ = 61.50°, d 1.508, I 30.8

Atomic structure:
abc: 3.551 4.818 27.568
angles: 90.00 93.67 90.00
Sites, in units of the cell vectors:
Tb 0.000 0.000 0.000
Dy 0.063 0.000 0.131
Dy 0.189 0.000 0.382
Dy 0.277 0.500 0.553
Dy 0.343 0.500 0.680
Dy 0.406 0.500 0.804
Dy 0.468 0.500 0.934
Dy 0.532 0.500 0.066
Dy 0.594 0.500 0.196
Dy 0.657 0.500 0.320
Dy 0.723 0.500 0.447
Dy 0.811 0.000 0.618
Dy 0.937 0.000 0.869
Sc 0.125 0.000 0.258
Sc 0.875 0.000 0.742

=====

Calculated X-ray powder pattern of Tb6Dy2Sc3 for CuKα, from a crystal structure in Alexandria, relaxed with GGA-PBE.

The 6 most intense peaks (2θ from 5° to 70°), low angle first:
2θ = 31.50°, d 2.840, I 100.0; 2θ = 31.63°, d 2.829, I 32.4; 2θ = 36.57°, d 2.457, I 65.8; 2θ = 52.60°, d 1.740, I 23.1; 2θ = 52.74°, d 1.736, I 15.5; 2θ = 62.63°, d 1.483, I 27.3

Atomic structure:
abc: 6.027 7.764 7.777
angles: 107.60 104.98 97.55
Sites, in units of the cell vectors:
Tb 0.092 0.322 0.361
Tb 0.182 0.146 0.732
Tb 0.275 0.953 0.090
Tb 0.725 0.047 0.910
Tb 0.818 0.854 0.268
Tb 0.908 0.678 0.639
Dy 0.364 0.768 0.453
Dy 0.636 0.232 0.547
Sc 0.000 0.500 0.000
Sc 0.455 0.588 0.823
Sc 0.545 0.412 0.177

=====

Calculated X-ray powder pattern of TbDy5Sc2 for CuKα, from a crystal structure in Alexandria, relaxed with GGA-PBE.

The 6 most intense peaks (2θ from 5° to 70°), low angle first:
2θ = 29.08°, d 3.071, I 26.9; 2θ = 32.42°, d 2.762, I 23.7; 2θ = 33.38°, d 2.684, I 100.0; 2θ = 44.10°, d 2.053, I 17.4; 2θ = 58.45°, d 1.579, I 20.0; 2θ = 62.22°, d 1.492, I 21.6

Atomic structure:
abc: 8.254 7.087 6.566
angles: 74.28 55.74 49.97
Sites, in units of the cell vectors:
Tb 0.000 0.000 0.000
Dy 0.416 0.416 0.084
Dy 0.496 0.996 0.504
Dy 0.500 0.500 0.500
Dy 0.916 0.916 0.584
Dy 0.996 0.496 0.004
Sc 0.414 0.914 0.086
Sc 0.914 0.414 0.586

=====

Calculated X-ray powder pattern of TbDySc for CuKα, from a crystal structure in Alexandria, relaxed with GGA-PBE.

The 6 most intense peaks (2θ from 5° to 70°), low angle first:
2θ = 31.73°, d 2.820, I 100.0; 2θ = 36.49°, d 2.462, I 17.2; 2θ = 36.90°, d 2.436, I 16.5; 2θ = 37.00°, d 2.429, I 16.5; 2θ = 52.91°, d 1.730, I 23.4; 2θ = 62.72°, d 1.481, I 13.9

Atomic structure:
abc: 7.701 7.701 4.924
angles: 90.00 90.00 143.22
Sites, in units of the cell vectors:
Tb 0.081 0.919 0.750
Tb 0.919 0.081 0.250
Dy 0.248 0.752 0.250
Dy 0.752 0.248 0.750
Sc 0.419 0.581 0.750
Sc 0.581 0.419 0.250

=====

Calculated X-ray powder pattern of Tb7Dy3Sc for CuKα, from a crystal structure in Alexandria, relaxed with GGA-PBE.

The 6 most intense peaks (2θ from 5° to 70°), low angle first:
2θ = 23.71°, d 3.753, I 12.5; 2θ = 28.70°, d 3.111, I 14.6; 2θ = 31.30°, d 2.857, I 33.4; 2θ = 32.05°, d 2.792, I 15.4; 2θ = 32.95°, d 2.719, I 100.0; 2θ = 56.77°, d 1.622, I 26.3

Atomic structure:
abc: 8.382 8.382 5.715
angles: 109.93 109.93 83.56
Sites, in units of the cell vectors:
Tb 0.000 0.000 0.000
Tb 0.099 0.517 0.308
Tb 0.286 0.286 0.785
Tb 0.483 0.901 0.692
Tb 0.517 0.099 0.308
Tb 0.714 0.714 0.215
Tb 0.901 0.483 0.692
Dy 0.295 0.705 0.000
Dy 0.500 0.500 0.500
Dy 0.705 0.295 0.000
Sc 0.000 0.000 0.500

=====

Calculated X-ray powder pattern of Tb3Dy8Sc for CuKα, from a crystal structure in Alexandria, relaxed with GGA-PBE.

The 6 most intense peaks (2θ from 5° to 70°), low angle first:
2θ = 20.16°, d 4.404, I 19.5; 2θ = 23.32°, d 3.814, I 22.0; 2θ = 33.22°, d 2.697, I 100.0; 2θ = 47.69°, d 1.907, I 18.2; 2θ = 59.35°, d 1.557, I 37.6; 2θ = 69.74°, d 1.348, I 11.5

Atomic structure:
abc: 9.337 9.337 9.337
angles: 131.75 131.75 70.63
Sites, in units of the cell vectors:
Tb 0.000 0.000 0.000
Tb 0.250 0.750 0.500
Tb 0.750 0.250 0.500
Dy 0.132 0.132 0.509
Dy 0.132 0.623 0.000
Dy 0.377 0.377 0.509
Dy 0.377 0.868 0.000
Dy 0.623 0.132 0.000
Dy 0.623 0.623 0.491
Dy 0.868 0.377 0.000
Dy 0.868 0.868 0.491
Sc 0.500 0.500 0.000

=====

Calculated X-ray powder pattern of Tb10Dy4Sc for CuKα, from a crystal structure in Alexandria, relaxed with GGA-PBE.

The 6 most intense peaks (2θ from 5° to 70°), low angle first:
2θ = 24.86°, d 3.582, I 32.5; 2θ = 28.31°, d 3.153, I 68.7; 2θ = 31.59°, d 2.832, I 100.0; 2θ = 32.50°, d 2.755, I 93.1; 2θ = 41.35°, d 2.184, I 39.3; 2θ = 54.30°, d 1.689, I 36.6

Atomic structure:
abc: 8.864 8.864 8.864
angles: 100.56 100.56 129.30
Sites, in units of the cell vectors:
Tb 0.008 0.217 0.791
Tb 0.217 0.008 0.791
Tb 0.217 0.427 0.209
Tb 0.250 0.750 0.500
Tb 0.427 0.217 0.209
Tb 0.573 0.783 0.791
Tb 0.750 0.250 0.500
Tb 0.783 0.573 0.791
Tb 0.783 0.992 0.209
Tb 0.992 0.783 0.209
Dy 0.266 0.266 0.533
Dy 0.266 0.734 0.000
Dy 0.734 0.266 0.000
Dy 0.734 0.734 0.467
Sc 0.500 0.500 0.000

=====

Calculated X-ray powder pattern of TbDy2Sc3 for CuKα, from a crystal structure in Alexandria, relaxed with GGA-PBE.

The 6 most intense peaks (2θ from 5° to 70°), low angle first:
2θ = 16.20°, d 5.471, I 93.7; 2θ = 30.89°, d 2.894, I 70.2; 2θ = 31.38°, d 2.850, I 100.0; 2θ = 32.72°, d 2.737, I 75.3; 2θ = 38.45°, d 2.341, I 57.9; 2θ = 63.95°, d 1.456, I 50.6

Atomic structure:
abc: 5.957 3.438 16.533
angles: 90.00 96.93 90.00
Sites, in units of the cell vectors:
Tb 0.028 0.250 0.333
Tb 0.972 0.750 0.667
Dy 0.250 0.250 0.000
Dy 0.473 0.250 0.667
Dy 0.527 0.750 0.333
Dy 0.750 0.750 0.000
Sc 0.139 0.750 0.167
Sc 0.250 0.750 0.500
Sc 0.361 0.750 0.833
Sc 0.639 0.250 0.167
Sc 0.750 0.250 0.500
Sc 0.861 0.250 0.833